No. 1
Calculated powder diffractogram of Li3V8O11 for copper Kα, from a cell relaxed with GGA+U.
Intensities are scaled so that the largest is 100.

Structure:
```
Li3V8O11
1.0
4.792 -2.172 0.000
4.792 2.172 0.000
-2.649 0.000 10.574
Li V O
3 8 11
Direct
0.000 0.000 0.000
0.085 0.085 0.634
0.915 0.915 0.366
0.183 0.183 0.276
0.273 0.273 0.906
0.368 0.368 0.538
0.456 0.456 0.179
0.544 0.544 0.821
0.632 0.632 0.462
0.727 0.727 0.094
0.817 0.817 0.724
0.045 0.045 0.820
0.148 0.148 0.460
0.239 0.239 0.095
0.331 0.331 0.727
0.414 0.414 0.359
0.500 0.500 0.000
0.586 0.586 0.641
0.669 0.669 0.273
0.761 0.761 0.905
0.852 0.852 0.540
0.955 0.955 0.180
```

Peak list (10 most intense, 2θ = 10–90°, in order of rising 2θ)
2θ 22.61, I 62.8; 2θ 35.91, I 48.4; 2θ 36.29, I 47.3; 2θ 41.58, I 100.0; 2θ 41.77, I 96.8; 2θ 42.44, I 91.4; 2θ 60.40, I 54.5; 2θ 60.54, I 26.9; 2θ 60.92, I 52.5; 2θ 61.58, I 24.8

No. 2
Calculated powder diffractogram of LiV2O5 for copper Kα, from a cell relaxed with GGA+U.
Intensities are scaled so that the largest is 100.

Structure:
```
LiV2O5
1.0
7.705 0.000 0.000
0.000 6.687 0.000
0.000 0.000 7.644
Li V O
4 8 20
Direct
0.000 0.000 0.000
0.000 0.500 0.000
0.500 0.000 0.500
0.500 0.500 0.500
0.125 0.250 0.371
0.169 0.750 0.270
0.331 0.250 0.770
0.375 0.750 0.871
0.625 0.250 0.129
0.669 0.750 0.230
0.831 0.250 0.730
0.875 0.750 0.629
0.056 0.750 0.497
0.121 0.250 0.835
0.122 0.038 0.237
0.122 0.462 0.237
0.190 0.750 0.004
0.310 0.250 0.504
0.378 0.538 0.737
0.378 0.962 0.737
0.379 0.750 0.335
0.444 0.250 0.997
0.556 0.750 0.003
0.621 0.250 0.665
0.622 0.038 0.263
0.622 0.462 0.263
0.690 0.750 0.496
0.810 0.250 0.996
0.878 0.538 0.763
0.878 0.962 0.763
0.879 0.750 0.165
0.944 0.250 0.503
```

Peak list (10 most intense, 2θ = 10–90°, in order of rising 2θ)
2θ 16.33, I 18.1; 2θ 21.08, I 17.6; 2θ 23.27, I 19.5; 2θ 25.90, I 100.0; 2θ 26.02, I 27.7; 2θ 26.66, I 65.4; 2θ 29.30, I 22.5; 2θ 37.58, I 34.6; 2θ 54.94, I 19.3; 2θ 55.40, I 24.6

No. 3
Calculated powder diffractogram of LiV2O5 for copper Kα, from a cell relaxed with GGA+U.
Intensities are scaled so that the largest is 100.

Structure:
```
LiV2O5
1.0
1.832 -5.019 0.000
1.832 5.019 0.000
0.000 0.000 11.431
Li V O
2 4 10
Direct
0.099 0.901 0.750
0.901 0.099 0.250
0.206 0.794 0.102
0.206 0.794 0.398
0.794 0.206 0.602
0.794 0.206 0.898
0.045 0.955 0.126
0.045 0.955 0.374
0.240 0.760 0.571
0.240 0.760 0.929
0.285 0.715 0.250
0.715 0.285 0.750
0.760 0.240 0.071
0.760 0.240 0.429
0.955 0.045 0.626
0.955 0.045 0.874
```

Peak list (10 most intense, 2θ = 10–90°, in order of rising 2θ)
2θ 17.67, I 100.0; 2θ 19.32, I 13.7; 2θ 25.89, I 28.1; 2θ 27.06, I 49.8; 2θ 29.43, I 24.5; 2θ 31.30, I 21.9; 2θ 35.14, I 15.9; 2θ 35.78, I 13.4; 2θ 49.78, I 16.8; 2θ 63.01, I 12.9

No. 4
Calculated powder diffractogram of Li11V16O32 for copper Kα, from a cell relaxed with GGA+U.
Intensities are scaled so that the largest is 100.

Structure:
```
Li11V16O32
1.0
8.478 0.000 0.000
-0.193 8.513 0.000
-4.147 -4.237 8.508
Li V O
11 16 32
Direct
0.000 0.000 0.000
0.020 0.890 0.427
0.153 0.902 0.215
0.263 0.747 0.521
0.301 0.565 0.876
0.485 0.542 0.543
0.561 0.297 0.370
0.593 0.477 0.076
0.638 0.894 0.766
0.752 0.237 0.998
0.933 0.196 0.638
0.002 0.508 0.013
0.122 0.879 0.757
0.125 0.372 0.254
0.245 0.253 0.507
0.252 0.254 0.010
0.363 0.132 0.755
0.381 0.630 0.262
0.488 0.996 0.002
0.504 0.009 0.512
0.616 0.882 0.256
0.625 0.376 0.757
0.742 0.751 0.002
0.750 0.754 0.511
0.863 0.128 0.254
0.886 0.622 0.760
0.985 0.494 0.500
0.000 0.743 0.521
0.015 0.270 0.034
0.097 0.625 0.744
0.112 0.143 0.264
0.145 0.132 0.769
0.147 0.614 0.255
0.222 0.488 0.481
0.244 0.012 0.992
0.252 0.500 0.028
0.264 0.012 0.518
0.359 0.388 0.255
0.365 0.899 0.759
0.369 0.355 0.744
0.389 0.869 0.276
0.486 0.231 0.987
0.488 0.259 0.520
0.500 0.755 0.502
0.513 0.763 0.017
0.600 0.133 0.751
0.606 0.643 0.270
0.628 0.110 0.241
0.649 0.622 0.764
0.735 0.983 0.496
0.740 0.001 0.013
0.755 0.499 0.994
0.759 0.518 0.521
0.859 0.896 0.242
0.878 0.855 0.752
0.880 0.402 0.776
0.885 0.349 0.252
0.979 0.744 0.997
0.995 0.250 0.487
```

Peak list (10 most intense, 2θ = 10–90°, in order of rising 2θ)
2θ 17.94, I 100.0; 2θ 18.22, I 77.6; 2θ 34.75, I 13.0; 2θ 34.89, I 25.2; 2θ 35.06, I 11.8; 2θ 35.20, I 12.8; 2θ 35.31, I 13.0; 2θ 42.49, I 79.9; 2θ 42.67, I 39.4; 2θ 61.78, I 32.2

No. 5
Calculated powder diffractogram of Li5V12O32 for copper Kα, from a cell relaxed with GGA+U.
Intensities are scaled so that the largest is 100.

Structure:
```
Li5V12O32
1.0
6.776 -3.640 0.000
6.776 3.640 0.000
-3.736 0.000 11.574
Li V O
5 12 32
Direct
0.000 0.000 0.000
0.037 0.037 0.368
0.252 0.748 0.632
0.499 0.499 0.000
0.748 0.252 0.632
0.078 0.578 0.779
0.171 0.171 0.853
0.287 0.287 0.123
0.352 0.352 0.396
0.397 0.896 0.235
0.466 0.965 0.513
0.578 0.078 0.779
0.671 0.671 0.853
0.785 0.785 0.120
0.848 0.848 0.395
0.896 0.397 0.235
0.965 0.466 0.513
0.005 0.506 0.142
0.057 0.057 0.754
0.059 0.559 0.388
0.099 0.600 0.643
0.150 0.150 0.989
0.188 0.188 0.244
0.193 0.693 0.878
0.243 0.243 0.491
0.284 0.284 0.776
0.288 0.790 0.126
0.347 0.867 0.362
0.360 0.360 0.037
0.388 0.890 0.595
0.390 0.390 0.269
0.460 0.460 0.505
0.466 0.965 0.856
0.506 0.005 0.142
0.557 0.557 0.754
0.559 0.059 0.388
0.600 0.099 0.643
0.651 0.651 0.990
0.689 0.689 0.247
0.693 0.193 0.878
0.743 0.743 0.489
0.784 0.784 0.776
0.790 0.288 0.126
0.861 0.861 0.038
0.867 0.347 0.362
0.890 0.388 0.595
0.891 0.891 0.271
0.962 0.962 0.498
0.965 0.466 0.856
```

Peak list (10 most intense, 2θ = 10–90°, in order of rising 2θ)
2θ 13.73, I 100.0; 2θ 23.05, I 18.9; 2θ 27.21, I 18.3; 2θ 28.04, I 77.4; 2θ 30.42, I 38.6; 2θ 40.39, I 24.7; 2θ 41.66, I 20.9; 2θ 50.12, I 21.9; 2θ 59.35, I 11.5; 2θ 59.77, I 9.2